Entry 1:
Pm3Ho4Er2: theoretical X-ray powder pattern (Cu Kα), based on the GGA-PBE geometry in Alexandria.
Peak positions follow from Bragg's law for the DFT cell and can differ from measured ones.

```
data_Pm3Ho4Er2
_space_group_name_H-M_alt 'P 1'
_space_group_IT_number 1
_space_group_name_Hall 'P 1'
_cell_length_a 7.967
_cell_length_b 7.967
_cell_length_c 7.954
_cell_angle_alpha 107.33
_cell_angle_beta 107.33
_cell_angle_gamma 36.89
loop_
_atom_site_label
_atom_site_type_symbol
_atom_site_fract_x
_atom_site_fract_y
_atom_site_fract_z
Pm1 Pm 0.000 0.000 0.000
Pm2 Pm 0.112 0.112 0.666
Pm3 Pm 0.888 0.888 0.334
Ho1 Ho 0.222 0.222 0.333
Ho2 Ho 0.333 0.333 0.000
Ho3 Ho 0.667 0.667 0.000
Ho4 Ho 0.778 0.778 0.667
Er1 Er 0.444 0.444 0.667
Er2 Er 0.556 0.556 0.333
```

Largest 8 diffraction maxima, low angle first, 2θ from 10° to 90°:
d 2.909, 30.74°, rel. 100; d 2.519, 35.64°, rel. 51; d 1.782, 51.27°, rel. 30; d 1.520, 60.96°, rel. 29; d 1.517, 61.07°, rel. 14; d 1.456, 63.95°, rel. 6; d 1.157, 83.60°, rel. 9; d 1.127, 86.32°, rel. 11

---

Entry 2:
FeNi2P8: theoretical X-ray powder pattern (Cu Kα), based on the GGA-PBE geometry in Alexandria.
Peak positions follow from Bragg's law for the DFT cell and can differ from measured ones.

```
data_FeNi2P8
_space_group_name_H-M_alt 'P 1'
_space_group_IT_number 1
_space_group_name_Hall 'P 1'
_cell_length_a 4.229
_cell_length_b 6.512
_cell_length_c 7.138
_cell_angle_alpha 62.98
_cell_angle_beta 83.52
_cell_angle_gamma 89.97
loop_
_atom_site_label
_atom_site_type_symbol
_atom_site_fract_x
_atom_site_fract_y
_atom_site_fract_z
Fe1 Fe 0.000 0.000 0.000
Ni1 Ni 0.180 0.683 0.634
Ni2 Ni 0.820 0.317 0.366
P1 P 0.271 0.858 0.285
P2 P 0.328 0.353 0.295
P3 P 0.373 0.311 0.847
P4 P 0.374 0.841 0.847
P5 P 0.626 0.159 0.153
P6 P 0.627 0.689 0.153
P7 P 0.672 0.647 0.705
P8 P 0.729 0.142 0.715
```

Largest 8 diffraction maxima, low angle first, 2θ from 10° to 90°:
d 3.532, 25.21°, rel. 100; d 3.306, 26.97°, rel. 59; d 3.256, 27.39°, rel. 42; d 2.893, 30.91°, rel. 28; d 2.572, 34.88°, rel. 35; d 1.983, 45.76°, rel. 30; d 1.764, 51.82°, rel. 29; d 1.747, 52.37°, rel. 49

---

Entry 3:
DyPuCuO6: theoretical X-ray powder pattern (Cu Kα), based on the GGA-PBE geometry in Alexandria.
Peak positions follow from Bragg's law for the DFT cell and can differ from measured ones.

```
data_DyPuCuO6
_space_group_name_H-M_alt 'P 1'
_space_group_IT_number 1
_space_group_name_Hall 'P 1'
_cell_length_a 5.616
_cell_length_b 5.616
_cell_length_c 4.426
_cell_angle_alpha 90.00
_cell_angle_beta 90.00
_cell_angle_gamma 120.00
loop_
_atom_site_label
_atom_site_type_symbol
_atom_site_fract_x
_atom_site_fract_y
_atom_site_fract_z
Dy1 Dy 0.000 0.000 0.000
Pu1 Pu 0.333 0.667 0.000
Cu1 Cu 0.667 0.333 0.500
O1 O 0.024 0.365 0.241
O2 O 0.024 0.658 0.759
O3 O 0.342 0.365 0.759
O4 O 0.342 0.976 0.241
O5 O 0.635 0.658 0.241
O6 O 0.635 0.976 0.759
```

Largest 8 diffraction maxima, low angle first, 2θ from 10° to 90°:
d 4.864, 18.24°, rel. 38; d 4.426, 20.06°, rel. 50; d 3.273, 27.24°, rel. 100; d 2.808, 31.87°, rel. 76; d 2.371, 37.95°, rel. 62; d 2.131, 42.41°, rel. 31; d 1.738, 52.66°, rel. 56; d 1.698, 54.02°, rel. 30

---

Entry 4:
Pr3Y7Th: theoretical X-ray powder pattern (Cu Kα), based on the GGA-PBE geometry in Alexandria.
Peak positions follow from Bragg's law for the DFT cell and can differ from measured ones.

```
data_Pr3Y7Th
_space_group_name_H-M_alt 'P 1'
_space_group_IT_number 1
_space_group_name_Hall 'P 1'
_cell_length_a 10.219
_cell_length_b 10.219
_cell_length_c 11.156
_cell_angle_alpha 90.26
_cell_angle_beta 90.26
_cell_angle_gamma 139.72
loop_
_atom_site_label
_atom_site_type_symbol
_atom_site_fract_x
_atom_site_fract_y
_atom_site_fract_z
Pr1 Pr 0.000 0.500 0.500
Pr2 Pr 0.229 0.251 0.252
Pr3 Pr 0.251 0.229 0.752
Pr4 Pr 0.500 0.000 0.000
Pr5 Pr 0.749 0.771 0.248
Pr6 Pr 0.771 0.749 0.748
Y1 Y 0.084 0.908 0.987
Y2 Y 0.092 0.916 0.513
Y3 Y 0.164 0.836 0.250
Y4 Y 0.205 0.795 0.750
Y5 Y 0.336 0.664 0.250
Y6 Y 0.406 0.590 0.958
Y7 Y 0.410 0.594 0.542
Y8 Y 0.590 0.406 0.458
Y9 Y 0.594 0.410 0.042
Y10 Y 0.664 0.336 0.750
Y11 Y 0.795 0.205 0.250
Y12 Y 0.836 0.164 0.750
Y13 Y 0.908 0.084 0.487
Y14 Y 0.916 0.092 0.013
Th1 Th 0.000 0.500 0.000
Th2 Th 0.500 0.000 0.500
```

Largest 8 diffraction maxima, low angle first, 2θ from 10° to 90°:
d 4.813, 18.43°, rel. 51; d 2.858, 31.30°, rel. 75; d 2.837, 31.53°, rel. 70; d 2.827, 31.65°, rel. 73; d 2.789, 32.10°, rel. 54; d 2.774, 32.27°, rel. 100; d 1.980, 45.83°, rel. 40; d 1.610, 57.20°, rel. 32

---

Entry 5:
K4Ho3TiSe8: theoretical X-ray powder pattern (Cu Kα), based on the GGA-PBE geometry in Alexandria.
Peak positions follow from Bragg's law for the DFT cell and can differ from measured ones.

```
data_K4Ho3TiSe8
_space_group_name_H-M_alt 'P 1'
_space_group_IT_number 1
_space_group_name_Hall 'P 1'
_cell_length_a 9.019
_cell_length_b 9.019
_cell_length_c 9.019
_cell_angle_alpha 54.36
_cell_angle_beta 54.36
_cell_angle_gamma 54.36
loop_
_atom_site_label
_atom_site_type_symbol
_atom_site_fract_x
_atom_site_fract_y
_atom_site_fract_z
K1 K 0.000 0.000 0.000
K2 K 0.000 0.500 0.500
K3 K 0.500 0.000 0.500
K4 K 0.500 0.500 0.000
Ho1 Ho 0.000 0.000 0.500
Ho2 Ho 0.000 0.500 0.000
Ho3 Ho 0.500 0.000 0.000
Ti1 Ti 0.500 0.500 0.500
Se1 Se 0.236 0.236 0.236
Se2 Se 0.249 0.725 0.725
Se3 Se 0.275 0.275 0.751
Se4 Se 0.275 0.751 0.275
Se5 Se 0.725 0.249 0.725
Se6 Se 0.725 0.725 0.249
Se7 Se 0.751 0.275 0.275
Se8 Se 0.764 0.764 0.764
```

Largest 8 diffraction maxima, low angle first, 2θ from 10° to 90°:
d 7.662, 11.55°, rel. 56; d 3.031, 29.47°, rel. 100; d 2.416, 37.21°, rel. 20; d 2.238, 40.30°, rel. 33; d 2.060, 43.96°, rel. 35; d 1.803, 50.62°, rel. 12; d 1.704, 53.81°, rel. 17; d 1.313, 71.93°, rel. 14

---

Entry 6:
CsTiNiCl6: theoretical X-ray powder pattern (Cu Kα), based on the GGA-PBE geometry in Alexandria.
Peak positions follow from Bragg's law for the DFT cell and can differ from measured ones.

```
data_CsTiNiCl6
_space_group_name_H-M_alt 'P 1'
_space_group_IT_number 1
_space_group_name_Hall 'P 1'
_cell_length_a 6.397
_cell_length_b 6.397
_cell_length_c 7.787
_cell_angle_alpha 90.00
_cell_angle_beta 90.00
_cell_angle_gamma 120.00
loop_
_atom_site_label
_atom_site_type_symbol
_atom_site_fract_x
_atom_site_fract_y
_atom_site_fract_z
Cs1 Cs 0.000 0.000 0.000
Ti1 Ti 0.667 0.333 0.500
Ni1 Ni 0.333 0.667 0.500
Cl1 Cl 0.381 0.004 0.677
Cl2 Cl 0.381 0.377 0.323
Cl3 Cl 0.623 0.004 0.323
Cl4 Cl 0.623 0.619 0.677
Cl5 Cl 0.996 0.377 0.677
Cl6 Cl 0.996 0.619 0.323
```

Largest 8 diffraction maxima, low angle first, 2θ from 10° to 90°:
d 4.514, 19.67°, rel. 100; d 2.959, 30.21°, rel. 23; d 2.610, 34.36°, rel. 14; d 2.472, 36.35°, rel. 55; d 2.022, 44.82°, rel. 22; d 1.894, 48.04°, rel. 15; d 1.846, 49.36°, rel. 20; d 1.663, 55.24°, rel. 14